Structure and computed X-ray diffraction stick pattern of Ac4Pt (a PBE-relaxed structure; Cu Kα (weighted mean of Kα1 and Kα2)).
Intensities are scaled so that the largest is 100.

Structural model:
abc: 13.832 14.783 8.355
angles: 90.00 90.00 90.00
Space group Fdd2 (No. 43)
One atom of each set of equivalent atoms:
Ac (0.117, 0.330, 0.000) [16 per cell]
Ac (0.122, 0.337, 0.495) [16 per cell]
Pt (0.000, 0.000, 0.495) [8 per cell]

Principal peaks in the range 10° ≤ 2θ ≤ 90°, in order of falling intensity:
2θ/deg  Rel. int.
27.7  100
27.4  51
35.8  35
42.6  32
46.6  24
25.8  24
52.0  18
35.6  18
51.1  17
50.5  16